[1]
CsP2N2: computed X-ray powder pattern (Cu Kα X-rays), based on a structure optimized by DFT (GGA-PBE).
Kinematic intensities with the Lorentz-polarization factor, no thermal factor.

```
CsP2N2
1.0
3.964 0.000 0.000
1.076 5.609 0.000
1.073 0.482 5.626
Cs P N
1 2 2
Direct
0.000 0.000 0.000
0.304 0.418 0.421
0.696 0.582 0.579
0.499 0.340 0.665
0.501 0.660 0.335
```

Top 10 peaks for 15 to 90 degrees two-theta, sorted by position:
two_theta	d_spacing	Rel. int.
21.4	4.146	100.0
23.4	3.806	69.5
25.8	3.451	60.1
27.4	3.252	27.8
30.4	2.942	79.7
31.8	2.813	21.7
33.2	2.702	25.4
36.3	2.477	21.5
36.4	2.468	21.6
47.4	1.918	22.7

***

[2]
CsPa2P2N6: computed X-ray powder pattern (Cu Kα X-rays), based on a structure optimized by DFT (GGA-PBE).
Kinematic intensities with the Lorentz-polarization factor, no thermal factor.

```
CsPa2P2N6
1.0
5.601 -3.107 0.000
5.601 3.107 0.000
-3.353 0.000 5.502
Cs Pa P N
1 2 2 6
Direct
0.000 0.000 0.000
0.311 0.311 0.700
0.689 0.689 0.300
0.396 0.396 0.335
0.604 0.604 0.665
0.107 0.526 0.368
0.426 0.426 0.114
0.474 0.893 0.632
0.526 0.107 0.368
0.574 0.574 0.886
0.893 0.474 0.632
```

Top 10 peaks for 15 to 90 degrees two-theta, sorted by position:
two_theta	d_spacing	Rel. int.
17.1	5.188	100.0
26.7	3.340	84.5
28.7	3.107	47.2
31.5	2.837	63.4
32.2	2.781	52.8
33.3	2.694	19.6
33.6	2.665	36.1
43.7	2.072	23.1
49.7	1.835	26.6
57.6	1.599	19.1

***

[3]
CsPm2P2N6: computed X-ray powder pattern (Cu Kα X-rays), based on a structure optimized by DFT (GGA-PBE).
Kinematic intensities with the Lorentz-polarization factor, no thermal factor.

```
CsPm2P2N6
1.0
5.746 -3.231 0.000
5.746 3.231 0.000
-3.170 0.000 5.734
Cs Pm P N
1 2 2 6
Direct
0.000 0.000 0.000
0.322 0.322 0.699
0.678 0.678 0.301
0.350 0.350 0.262
0.650 0.650 0.738
0.102 0.510 0.341
0.433 0.433 0.130
0.490 0.898 0.659
0.510 0.102 0.341
0.567 0.567 0.870
0.898 0.490 0.659
```

Top 10 peaks for 15 to 90 degrees two-theta, sorted by position:
two_theta	d_spacing	Rel. int.
16.9	5.241	95.7
25.4	3.513	74.2
27.6	3.231	58.5
30.0	2.976	100.0
31.2	2.864	76.9
32.6	2.750	43.3
42.1	2.144	27.5
44.5	2.035	24.8
50.4	1.812	19.2
51.1	1.786	19.9

***

[4]
CsPa5N8: computed X-ray powder pattern (Cu Kα X-rays), based on a structure optimized by DFT (GGA-PBE).
Kinematic intensities with the Lorentz-polarization factor, no thermal factor.

```
CsPa5N8
1.0
8.964 -1.794 0.000
8.964 1.794 0.000
-2.381 0.000 8.069
Cs Pa N
1 5 8
Direct
0.000 0.000 0.000
0.159 0.159 0.417
0.200 0.200 0.819
0.500 0.500 0.500
0.800 0.800 0.181
0.841 0.841 0.583
0.080 0.080 0.603
0.276 0.276 0.364
0.313 0.313 0.031
0.418 0.418 0.667
0.582 0.582 0.333
0.687 0.687 0.969
0.724 0.724 0.636
0.920 0.920 0.397
```

Top 10 peaks for 15 to 90 degrees two-theta, sorted by position:
two_theta	d_spacing	Rel. int.
20.5	4.338	36.3
25.7	3.473	49.9
26.9	3.310	88.6
29.4	3.042	100.0
29.8	2.999	86.9
30.0	2.980	43.3
31.2	2.866	43.4
32.8	2.729	54.3
49.6	1.838	40.7
52.6	1.740	47.6

***

[5]
CsPaSiN4: computed X-ray powder pattern (Cu Kα X-rays), based on a structure optimized by DFT (GGA-PBE).
Kinematic intensities with the Lorentz-polarization factor, no thermal factor.

```
CsPaSiN4
1.0
5.701 0.000 0.000
0.000 5.484 0.000
-2.806 0.000 8.137
Cs Pa Si N
2 2 2 8
Direct
0.204 0.250 0.432
0.796 0.750 0.568
0.267 0.250 0.952
0.733 0.750 0.048
0.264 0.750 0.151
0.736 0.250 0.849
0.055 0.750 0.948
0.066 0.750 0.267
0.469 0.510 0.156
0.469 0.990 0.156
0.531 0.010 0.844
0.531 0.490 0.844
0.934 0.250 0.733
0.945 0.250 0.052
```

Top 10 peaks for 15 to 90 degrees two-theta, sorted by position:
two_theta	d_spacing	Rel. int.
21.8	4.068	35.8
23.1	3.844	100.0
27.3	3.268	40.5
28.0	3.189	49.4
32.7	2.742	31.8
33.2	2.695	20.0
33.4	2.685	18.8
35.7	2.517	26.3
39.6	2.274	18.6
47.3	1.921	31.2

***

[6]
Cs4Pa3TiN8: computed X-ray powder pattern (Cu Kα X-rays), based on a structure optimized by DFT (GGA-PBE).
Kinematic intensities with the Lorentz-polarization factor, no thermal factor.

```
Cs4Pa3TiN8
1.0
3.535 2.041 7.063
-3.535 2.041 7.063
0.000 -4.082 7.063
Cs Pa Ti N
4 3 1 8
Direct
0.000 0.000 0.000
0.000 0.500 0.500
0.500 0.000 0.500
0.500 0.500 0.000
0.000 0.000 0.500
0.000 0.500 0.000
0.500 0.000 0.000
0.500 0.500 0.500
0.216 0.216 0.216
0.226 0.709 0.709
0.291 0.291 0.774
0.291 0.774 0.291
0.709 0.226 0.709
0.709 0.709 0.226
0.774 0.291 0.291
0.784 0.784 0.784
```

Top 10 peaks for 15 to 90 degrees two-theta, sorted by position:
two_theta	d_spacing	Rel. int.
25.2	3.532	64.2
30.4	2.941	99.8
33.8	2.651	100.0
45.3	2.003	39.6
51.7	1.767	40.1
52.5	1.742	29.0
58.4	1.581	37.3
61.2	1.515	14.5
63.2	1.470	16.4
76.2	1.249	16.6

***

[7]
CsPm2Tc2N6: computed X-ray powder pattern (Cu Kα X-rays), based on a structure optimized by DFT (GGA-PBE).
Kinematic intensities with the Lorentz-polarization factor, no thermal factor.

```
CsPm2Tc2N6
1.0
6.533 0.000 0.000
-3.118 6.028 0.000
-3.040 -2.094 5.938
Cs Pm Tc N
1 2 2 6
Direct
0.000 0.000 0.000
0.352 0.675 0.289
0.648 0.325 0.711
0.232 0.641 0.683
0.768 0.359 0.317
0.151 0.624 0.903
0.351 0.911 0.625
0.422 0.521 0.676
0.578 0.479 0.324
0.649 0.089 0.375
0.849 0.376 0.097
```

Top 10 peaks for 15 to 90 degrees two-theta, sorted by position:
two_theta	d_spacing	Rel. int.
16.2	5.472	75.8
24.8	3.588	43.2
25.6	3.474	36.0
26.3	3.383	100.0
28.9	3.086	36.9
29.7	3.006	73.1
30.1	2.972	35.7
30.2	2.955	29.0
30.7	2.917	46.6
32.8	2.729	28.6

***

[8]
CsPrReN3: computed X-ray powder pattern (Cu Kα X-rays), based on a structure optimized by DFT (GGA-PBE).
Kinematic intensities with the Lorentz-polarization factor, no thermal factor.

```
CsPrReN3
1.0
6.383 0.000 0.000
-3.191 5.528 0.000
0.000 0.000 7.146
Cs Pr Re N
2 2 2 6
Direct
0.333 0.667 0.250
0.667 0.333 0.750
0.000 0.000 0.000
0.000 0.000 0.500
0.333 0.667 0.750
0.667 0.333 0.250
0.169 0.337 0.750
0.169 0.831 0.750
0.337 0.169 0.250
0.663 0.831 0.750
0.831 0.169 0.250
0.831 0.663 0.250
```

Top 10 peaks for 15 to 90 degrees two-theta, sorted by position:
two_theta	d_spacing	Rel. int.
28.0	3.191	100.0
29.8	3.001	74.7
41.3	2.186	37.7
49.5	1.843	21.1
50.6	1.804	34.2
57.8	1.596	16.0
59.3	1.559	24.7
66.3	1.409	15.4
73.9	1.283	13.0
80.7	1.190	12.4

***

[9]
CsPrTcN3: computed X-ray powder pattern (Cu Kα X-rays), based on a structure optimized by DFT (GGA-PBE).
Kinematic intensities with the Lorentz-polarization factor, no thermal factor.

```
CsPrTcN3
1.0
6.989 -1.980 0.000
6.989 1.980 0.000
-2.100 0.000 8.360
Cs Pr Tc N
2 2 2 6
Direct
0.140 0.140 0.073
0.860 0.860 0.927
0.160 0.160 0.577
0.840 0.840 0.423
0.493 0.493 0.654
0.507 0.507 0.346
0.013 0.013 0.346
0.344 0.344 0.614
0.377 0.377 0.230
0.623 0.623 0.770
0.656 0.656 0.386
0.987 0.987 0.654
```

Top 10 peaks for 15 to 90 degrees two-theta, sorted by position:
two_theta	d_spacing	Rel. int.
27.7	3.224	41.6
29.6	3.016	39.7
30.0	2.978	92.0
30.7	2.913	100.0
39.9	2.260	39.5
45.8	1.980	23.5
48.2	1.887	15.3
52.4	1.748	13.8
55.5	1.655	13.6
67.2	1.394	13.0

***

[10]
CsReN3: computed X-ray powder pattern (Cu Kα X-rays), based on a structure optimized by DFT (GGA-PBE).
Kinematic intensities with the Lorentz-polarization factor, no thermal factor.

```
CsReN3
1.0
8.767 0.000 0.000
0.000 5.950 0.000
-0.243 0.000 7.357
Cs Re N
4 4 12
Direct
0.155 0.110 0.246
0.155 0.390 0.746
0.845 0.610 0.254
0.845 0.890 0.754
0.415 0.653 0.400
0.415 0.847 0.900
0.585 0.153 0.100
0.585 0.347 0.600
0.222 0.596 0.369
0.222 0.904 0.869
0.432 0.523 0.991
0.432 0.977 0.491
0.459 0.617 0.668
0.459 0.883 0.168
0.541 0.117 0.832
0.541 0.383 0.332
0.568 0.023 0.509
0.568 0.477 0.009
0.778 0.096 0.131
0.778 0.404 0.631
```

Top 10 peaks for 15 to 90 degrees two-theta, sorted by position:
two_theta	d_spacing	Rel. int.
19.2	4.626	32.3
21.9	4.056	36.7
25.2	3.528	100.0
26.0	3.432	51.8
27.8	3.215	48.9
28.5	3.129	35.5
30.6	2.921	70.3
31.2	2.864	34.2
32.5	2.758	59.7
45.5	1.993	30.5